The following is a theoretical powder XRD pattern of Na3Ni2H9. It was derived from a DFT-relaxed cell (GGA-PBE, Alexandria), using Cu Kα (weighted mean of Kα1 and Kα2).

Largest 10 diffraction maxima, sorted by position, 10° ≤ 2θ ≤ 90°:
| Position (°2θ) | d/Å | intensity | h k l |
| --- | --- | --- | --- |
| 14.50 | 6.108 | 37 | 0 0 1 |
| 21.15 | 4.201 | 38 | 1 0 0 |
| 25.74 | 3.462 | 41 | 0 1 1 |
| 36.37 | 2.470 | 100 | 1 0 2 |
| 37.06 | 2.426 | 80 | 1 1 0 |
| 39.99 | 2.254 | 16 | 1 1 1 |
| 52.90 | 1.731 | 34 | 0 2 2 |
| 64.98 | 1.435 | 12 | 0 1 4 |
| 66.35 | 1.409 | 30 | 2 1 2 |
| 66.80 | 1.400 | 12 | 3 0 0 |

Atomic structure:
```
data_Na3Ni2H9
_space_group_name_H-M_alt 'P -3 m 1'
_space_group_IT_number 164
_space_group_name_Hall '-P 3 2"'
_cell_length_a 4.8514
_cell_length_b 4.8514
_cell_length_c 6.1081
_cell_angle_alpha 90.00
_cell_angle_beta 90.00
_cell_angle_gamma 120.00
loop_
_atom_site_label
_atom_site_type_symbol
_atom_site_fract_x
_atom_site_fract_y
_atom_site_fract_z
Na1 Na 0.0000 0.0000 0.0000
Na2 Na 0.3333 0.6667 0.3516
Ni1 Ni 0.3333 0.6667 0.8479
H1 H 0.0000 0.5000 0.0000
H2 H 0.1845 0.3689 0.7013
```